Mg5Hg: simulated XRD peak list (Cu Kα), based on DFT lattice parameters and positions (GGA-PBE).
Neutral-atom scattering factors, no anomalous dispersion.

Cell and atoms:
```
6
Lattice="2.7573 1.5919 5.0387 -2.7573 1.5919 5.0387 0.0000 -3.1838 5.0387" Properties=species:S:1:pos:R:3 pbc="T T T"
Mg -1.8239 -0.0247 5.0387
Mg 0.0000 0.0000 2.5154
Mg 0.9333 -1.5673 5.0387
Mg 0.8906 1.5919 5.0387
Mg 0.0000 0.0000 12.6008
Hg 0.0000 0.0000 7.5581
```

The 12 most intense peaks (5 to 70 degrees two-theta), low angle first:
5.039 Å, rel. 34.6; 4.554 Å, rel. 84.1; 4.037 Å, rel. 61.8; 2.963 Å, rel. 29.0; 2.757 Å, rel. 40.3; 2.554 Å, rel. 20.4; 2.519 Å, rel. 22.8; 2.419 Å, rel. 100.0; 1.860 Å, rel. 25.9; 1.756 Å, rel. 20.2; 1.434 Å, rel. 19.3; 1.346 Å, rel. 18.8